No. 1
This entry pairs a crystal structure of BaCl2O2 with its theoretical powder diffractogram. Radiation: CuKα. Structure: a structure optimized by DFT (PBE).
Lines closer than 0.1° are merged.

Main lines, sorted by position (2θ = 10–80°):
2θ (°)  d/Å  Rel. int.  index
18.1  4.898  92  0 2 0
20.3  4.368  93  1 1 0
20.7  4.289  62  1 1 -2
24.3  3.663  68  0 0 2
29.3  3.048  86  2 1 -2
33.0  2.714  96  1 3 0
33.2  2.695  100  1 3 -2
36.8  2.440  53  2 0 0

Structural model:
```
data_BaCl2O2
_chemical_formula_sum 'Ba4 Cl8 O8'
_space_group_name_H-M_alt 'P 1 21/c 1'
_space_group_IT_number 14
_cell_length_a 6.4135
_cell_length_b 9.7966
_cell_length_c 9.6262
_cell_angle_alpha 90.00
_cell_angle_beta 130.45
_cell_angle_gamma 90.00
loop_
_space_group_symop_operation_xyz
'x,y,z'
'-x,-y,-z'
'-x,y+1/2,-z+1/2'
'x,-y+1/2,z+1/2'
loop_
_atom_site_label
_atom_site_type_symbol
_atom_site_fract_x
_atom_site_fract_y
_atom_site_fract_z
_atom_site_occupancy
Ba1 Ba 0.2153 0.2301 0.0352 1
Cl1 Cl 0.1725 0.5823 0.8958 1
Cl2 Cl 0.3473 0.5939 0.5794 1
O1 O 0.2525 0.6902 0.3125 1
O2 O 0.3295 0.1247 0.3502 1
```



No. 2
This entry pairs a crystal structure of BaCl2O2 with its theoretical powder diffractogram. Radiation: CuKα. Structure: a structure optimized by DFT (PBE).
Lines closer than 0.1° are merged.

Main lines, sorted by position (2θ = 10–80°):
2θ (°)  d/Å  Rel. int.  index
17.0  5.206  94  0 2 0
20.3  4.383  100  1 1 0
23.3  3.825  79  0 1 2
26.0  3.422  71  1 2 -2
31.7  2.819  66  1 3 0
32.5  2.757  69  1 3 -2
32.6  2.745  48  2 1 -2
38.0  2.366  49  1 3 -3

Structural model:
```
data_BaCl2O2
_chemical_formula_sum 'Ba4 Cl8 O8'
_space_group_name_H-M_alt 'P 1 21/c 1'
_space_group_IT_number 14
_cell_length_a 5.7034
_cell_length_b 10.4116
_cell_length_c 9.7077
_cell_angle_alpha 90.00
_cell_angle_beta 122.09
_cell_angle_gamma 90.00
loop_
_space_group_symop_operation_xyz
'x,y,z'
'-x,-y,-z'
'-x,y+1/2,-z+1/2'
'x,-y+1/2,z+1/2'
loop_
_atom_site_label
_atom_site_type_symbol
_atom_site_fract_x
_atom_site_fract_y
_atom_site_fract_z
_atom_site_occupancy
Ba1 Ba 0.2285 0.2079 0.4101 1
Cl1 Cl 0.1239 0.5967 0.9099 1
Cl2 Cl 0.3115 0.5817 0.5838 1
O1 O 0.1703 0.1297 0.1181 1
O2 O 0.3171 0.7288 0.7782 1
```



No. 3
This entry pairs a crystal structure of Ba5Re3ClO15 with its theoretical powder diffractogram. Radiation: CuKα. Structure: a structure optimized by DFT (PBE).
Lines closer than 0.1° are merged.

Main lines, sorted by position (2θ = 10–80°):
2θ (°)  d/Å  Rel. int.  index
19.5  4.555  25  1 1 1
22.4  3.969  30  0 0 2
26.9  3.310  100  2 1 1
27.6  3.231  96  1 1 2
27.8  3.211  85  3 0 0
35.4  2.532  32  3 1 1
39.6  2.278  27  2 2 2
42.2  2.141  25  2 1 3

Structural model:
```
data_Ba5Re3ClO15
_chemical_formula_sum 'Ba10 Re6 Cl2 O30'
_space_group_name_H-M_alt 'P 63 c m'
_space_group_IT_number 185
_space_group_name_Hall 'P 6c -2'
_cell_length_a 11.1246
_cell_length_b 11.1246
_cell_length_c 7.9377
_cell_angle_alpha 90.00
_cell_angle_beta 90.00
_cell_angle_gamma 120.00
loop_
_atom_site_label
_atom_site_type_symbol
_atom_site_fract_x
_atom_site_fract_y
_atom_site_fract_z
_atom_site_occupancy
Ba1 Ba 0.0000 0.2642 0.0000 1
Ba2 Ba 0.3333 0.6667 0.2593 1
Re1 Re 0.0000 0.3912 0.5544 1
Cl1 Cl 0.0000 0.0000 0.2156 1
O1 O 0.0000 0.2962 0.3764 1
O2 O 0.1305 0.5533 0.0148 1
O3 O 0.1317 0.3894 0.6951 1
```



No. 4
This entry pairs a crystal structure of Ba3Sr2Re3ClO15 with its theoretical powder diffractogram. Radiation: CuKα. Structure: a structure optimized by DFT (PBE).
Lines closer than 0.1° are merged.

Main lines, sorted by position (2θ = 10–80°):
2θ (°)  d/Å  Rel. int.  index
16.3  5.452  22  1 1 0
19.9  4.472  25  1 1 1
22.7  3.910  36  0 0 2
27.5  3.247  100  2 1 1
28.1  3.177  70  1 1 2
28.4  3.148  66  3 0 0
36.2  2.483  32  3 1 1
43.0  2.105  25  2 1 3

Structural model:
```
data_Ba3Sr2Re3ClO15
_chemical_formula_sum 'Ba6 Sr4 Re6 Cl2 O30'
_space_group_name_H-M_alt 'P 63 c m'
_space_group_IT_number 185
_space_group_name_Hall 'P 6c -2'
_cell_length_a 10.9036
_cell_length_b 10.9036
_cell_length_c 7.8203
_cell_angle_alpha 90.00
_cell_angle_beta 90.00
_cell_angle_gamma 120.00
loop_
_atom_site_label
_atom_site_type_symbol
_atom_site_fract_x
_atom_site_fract_y
_atom_site_fract_z
_atom_site_occupancy
Ba1 Ba 0.0000 0.2632 0.0000 1
Sr1 Sr 0.3333 0.6667 0.2450 1
Re1 Re 0.0000 0.3918 0.4435 1
Cl1 Cl 0.0000 0.0000 0.2751 1
O1 O 0.0000 0.2920 0.6208 1
O2 O 0.1347 0.3923 0.2994 1
O3 O 0.1355 0.5555 0.9871 1
```



No. 5
This entry pairs a crystal structure of Ba6Ru3Cl2O12 with its theoretical powder diffractogram. Radiation: CuKα. Structure: a structure optimized by DFT (PBE).
Lines closer than 0.1° are merged.

Main lines, sorted by position (2θ = 10–80°):
2θ (°)  d/Å  Rel. int.  index
18.3  4.852  24  0 1 1
24.8  3.585  50  1 0 3
29.5  3.033  45  0 1 4
30.2  2.959  100  1 1 0
39.5  2.282  32  0 2 3
42.7  2.118  23  2 0 4
53.6  1.709  19  3 0 0
62.8  1.480  17  2 2 0

Structural model:
```
data_Ba6Ru3Cl2O12
_chemical_formula_sum 'Ba6 Ru3 Cl2 O12'
_space_group_name_H-M_alt 'P -3 m 1'
_space_group_IT_number 164
_space_group_name_Hall '-P 3 2"'
_cell_length_a 5.9184
_cell_length_b 5.9184
_cell_length_c 15.0478
_cell_angle_alpha 90.00
_cell_angle_beta 90.00
_cell_angle_gamma 120.00
loop_
_atom_site_label
_atom_site_type_symbol
_atom_site_fract_x
_atom_site_fract_y
_atom_site_fract_z
_atom_site_occupancy
Ba1 Ba 0.3333 0.6667 0.0806 1
Ba2 Ba 0.3333 0.6667 0.3633 1
Ba3 Ba 0.3333 0.6667 0.7860 1
Ru1 Ru 0.0000 0.0000 0.0000 1
Ru2 Ru 0.0000 0.0000 0.1749 1
Cl1 Cl 0.3333 0.6667 0.5770 1
O1 O 0.1547 0.3094 0.9170 1
O2 O 0.1592 0.3184 0.2405 1
```